Entry 1:
The following is a simulated X-ray powder pattern of K4Na4Mo5W3O24. It was derived from DFT lattice parameters and positions (GGA+U), using Cu Kα, 1.54184 Å.

Crystal structure
```
K4Na4Mo5W3O24
1.0
7.994 0.000 0.000
0.000 8.045 0.000
0.000 0.000 7.992
K Na Mo W O
4 4 5 3 24
Direct
0.248 0.247 0.000
0.248 0.753 0.000
0.752 0.247 0.000
0.752 0.753 0.000
0.242 0.243 0.490
0.242 0.757 0.490
0.758 0.243 0.490
0.758 0.757 0.490
0.000 0.000 0.250
0.000 0.000 0.745
0.000 0.500 0.248
0.500 0.000 0.252
0.500 0.000 0.748
0.000 0.500 0.744
0.500 0.500 0.251
0.500 0.500 0.745
0.000 0.000 0.006
0.000 0.000 0.494
0.000 0.239 0.254
0.000 0.258 0.741
0.000 0.500 0.500
0.000 0.500 0.991
0.000 0.742 0.741
0.000 0.761 0.254
0.238 0.000 0.745
0.243 0.500 0.743
0.244 0.000 0.255
0.255 0.500 0.252
0.500 0.000 0.013
0.500 0.000 0.489
0.500 0.258 0.254
0.500 0.263 0.744
0.500 0.500 0.006
0.500 0.500 0.492
0.500 0.737 0.744
0.500 0.742 0.254
0.745 0.500 0.252
0.756 0.000 0.255
0.757 0.500 0.743
0.762 0.000 0.745
```

Top 12 peaks for 2θ = 10–80°, low angle first:
d (Å), 2θ (°), I (rel.), h k l
4.022, 22.1, 38, 0 2 0
3.997, 22.2, 74, 2 0 0
2.835, 31.6, 100, 2 2 0
2.826, 31.7, 49, 2 0 2
2.011, 45.1, 19, 0 4 0
1.998, 45.4, 36, 4 0 0
1.797, 50.8, 16, 2 4 0
1.788, 51.1, 31, 4 2 0
1.639, 56.1, 19, 2 4 2
1.633, 56.3, 38, 4 2 2
1.418, 65.9, 21, 4 4 0
1.264, 75.2, 16, 6 2 0

Entry 2:
The following is a simulated X-ray powder pattern of KNbMoO6. It was derived from DFT lattice parameters and positions (GGA+U), using Cu Kα, 1.54184 Å.

Crystal structure
```
KNbMoO6
1.0
5.358 0.000 0.000
-2.679 4.640 0.000
0.000 0.000 5.950
K Nb Mo O
1 1 1 6
Direct
0.000 0.000 0.000
0.333 0.667 0.446
0.667 0.333 0.538
0.397 0.005 0.684
0.402 0.387 0.307
0.607 0.603 0.684
0.613 0.015 0.307
0.985 0.598 0.307
0.995 0.393 0.684
```

Top 12 peaks for 2θ = 10–80°, low angle first:
d (Å), 2θ (°), I (rel.), h k l
5.950, 14.9, 81, 0 0 1
4.640, 19.1, 23, 1 0 0
3.659, 24.3, 100, 0 1 1
2.679, 33.5, 35, 1 1 0
2.504, 35.9, 14, 0 1 2
2.443, 36.8, 31, 2 -1 1
2.161, 41.8, 16, 2 0 1
1.991, 45.6, 44, 2 -1 2
1.824, 50.0, 14, 0 1 3
1.682, 54.6, 19, 3 -2 1
1.547, 59.8, 13, 3 0 0
1.507, 61.5, 11, 2 0 3